# K2SbMoO6
Computed XRD peak list, copper Kα. Input: the PBE+U geometry in Alexandria.

Atomic structure:
Cell: 5.7889 5.7889 5.7889 Å, 120.04 120.00 89.96°
Fractional coordinates of all 10 atoms:
K1 0.2500 0.2500 0.0000
K2 0.7500 0.7500 0.0000
Sb1 0.5000 0.0000 0.5000
Mo1 0.0000 0.5000 0.5000
O1 0.2393 0.2603 0.4996
O2 0.2390 0.7390 0.5000
O3 0.2393 0.7397 0.9790
O4 0.7607 0.2603 0.0210
O5 0.7610 0.2610 0.5000
O6 0.7607 0.7397 0.5004

Principal peaks in the range 2θ from 15° to 90°, by angle:
- 4.093 Å, I 50
- 2.894 Å, I 100
- 2.046 Å, I 39
- 1.830 Å, I 21
- 1.671 Å, I 37
- 1.447 Å, I 22
- 1.294 Å, I 16
- 1.094 Å, I 20